Starting from a PBE-relaxed structure, the PXRD pattern of ThAl10Cu2 was computed for Cu Ka.
Neutral-atom scattering factors, no anomalous dispersion.

Structural model:
Lattice parameters (Å, degrees): 9.2407 7.3516 6.6925 82.15 52.01 45.84
Positions (direct):
Th1 0.0000 0.0000 0.0000
Al1 0.0000 0.0000 0.5000
Al2 0.0081 0.3525 0.6475
Al3 0.2725 0.4898 0.5102
Al4 0.3525 0.0081 0.9919
Al5 0.4898 0.2725 0.7275
Al6 0.5000 0.5000 0.0000
Al7 0.5102 0.7275 0.2725
Al8 0.6475 0.9919 0.0081
Al9 0.7275 0.5102 0.4898
Al10 0.9919 0.6475 0.3525
Cu1 0.0000 0.5000 0.0000
Cu2 0.5000 0.0000 0.5000

The 10 most intense peaks (10° ≤ 2θ ≤ 90°), sorted by position:
d [Å]	2θ (°)	I/Imax
6.170	14.36	99
4.516	19.66	92
3.310	26.94	69
3.138	28.45	54
2.637	34.00	66
2.385	37.72	66
2.296	39.23	74
2.258	39.93	100
2.200	41.03	48
1.656	55.50	47